Diffraction record for Er3CuSiS7. The PXRD pattern is theoretical, not measured: it uses the PBE geometry in OQMD and Cu Kα X-rays.
Kinematic intensities with the Lorentz-polarization factor, no thermal factor.

Crystal structure
```
data_Er3CuSiS7
_space_group_name_H-M_alt 'P 1'
_space_group_IT_number 1
_cell_length_a 9.812
_cell_length_b 9.812
_cell_length_c 5.652
_cell_angle_alpha 90.00
_cell_angle_beta 90.00
_cell_angle_gamma 120.00
loop_
_space_group_symop_operation_xyz
'x,y,z'
loop_
_atom_site_label
_atom_site_type_symbol
_atom_site_fract_x
_atom_site_fract_y
_atom_site_fract_z
_atom_site_occupancy
Er1 Er 0.128 0.357 0.000 1
Er2 Er 0.229 0.872 0.000 1
Er3 Er 0.357 0.229 0.500 1
Er4 Er 0.643 0.771 0.000 1
Er5 Er 0.771 0.128 0.500 1
Er6 Er 0.872 0.643 0.500 1
Cu1 Cu 0.000 0.000 0.037 1
Cu2 Cu 0.000 0.000 0.537 1
Si1 Si 0.333 0.667 0.412 1
Si2 Si 0.667 0.333 0.912 1
S1 S 0.095 0.260 0.525 1
S2 S 0.105 0.583 0.260 1
S3 S 0.165 0.905 0.525 1
S4 S 0.260 0.165 0.025 1
S5 S 0.333 0.667 0.785 1
S6 S 0.417 0.522 0.260 1
S7 S 0.478 0.895 0.260 1
S8 S 0.522 0.105 0.760 1
S9 S 0.583 0.478 0.760 1
S10 S 0.667 0.333 0.285 1
S11 S 0.740 0.835 0.525 1
S12 S 0.835 0.095 0.025 1
S13 S 0.895 0.417 0.760 1
S14 S 0.905 0.740 0.025 1
```

Largest 8 diffraction maxima, sorted by position, 15° ≤ 2θ ≤ 90°:
18.86 deg, d = 4.706 Å, I = 32; 24.02 deg, d = 3.705 Å, I = 38; 26.24 deg, d = 3.396 Å, I = 100; 27.78 deg, d = 3.212 Å, I = 38; 36.65 deg, d = 2.452 Å, I = 50; 38.21 deg, d = 2.356 Å, I = 64; 41.52 deg, d = 2.175 Å, I = 44; 42.61 deg, d = 2.122 Å, I = 50

Diffraction record for Er3Tl2Cu5S8. The PXRD pattern is theoretical, not measured: it uses the PBE geometry in OQMD and Cu Kα X-rays.
Kinematic intensities with the Lorentz-polarization factor, no thermal factor.

Crystal structure
```
data_Er3Tl2Cu5S8
_space_group_name_H-M_alt 'P 1'
_space_group_IT_number 1
_cell_length_a 7.180
_cell_length_b 7.180
_cell_length_c 14.386
_cell_angle_alpha 110.45
_cell_angle_beta 110.45
_cell_angle_gamma 31.53
loop_
_space_group_symop_operation_xyz
'x,y,z'
loop_
_atom_site_label
_atom_site_type_symbol
_atom_site_fract_x
_atom_site_fract_y
_atom_site_fract_z
_atom_site_occupancy
Er1 Er 0.000 0.000 0.000 1
Er2 Er 0.137 0.137 0.386 1
Er3 Er 0.840 0.840 0.620 1
Tl1 Tl 0.174 0.174 0.799 1
Tl2 Tl 0.803 0.803 0.213 1
Cu1 Cu 0.388 0.388 0.456 1
Cu2 Cu 0.460 0.460 0.806 1
Cu3 Cu 0.521 0.521 0.195 1
Cu4 Cu 0.590 0.590 0.550 1
Cu5 Cu 0.783 0.783 0.004 1
S1 S 0.117 0.117 0.196 1
S2 S 0.189 0.189 0.586 1
S3 S 0.378 0.378 0.044 1
S4 S 0.480 0.480 0.642 1
S5 S 0.497 0.497 0.362 1
S6 S 0.608 0.608 0.954 1
S7 S 0.788 0.788 0.419 1
S8 S 0.865 0.865 0.811 1
```

Largest 8 diffraction maxima, sorted by position, 15° ≤ 2θ ≤ 90°:
22.35 deg, d = 3.978 Å, I = 42; 26.02 deg, d = 3.424 Å, I = 100; 29.52 deg, d = 3.026 Å, I = 75; 30.97 deg, d = 2.887 Å, I = 76; 33.42 deg, d = 2.681 Å, I = 72; 36.78 deg, d = 2.444 Å, I = 40; 39.93 deg, d = 2.258 Å, I = 55; 46.56 deg, d = 1.951 Å, I = 45

Diffraction record for ErScCu6. The PXRD pattern is theoretical, not measured: it uses the PBE geometry in OQMD and Cu Kα X-rays.
Kinematic intensities with the Lorentz-polarization factor, no thermal factor.

Crystal structure
```
data_ErScCu6
_space_group_name_H-M_alt 'P 1'
_space_group_IT_number 1
_cell_length_a 4.430
_cell_length_b 5.635
_cell_length_c 4.759
_cell_angle_alpha 90.00
_cell_angle_beta 90.00
_cell_angle_gamma 90.00
loop_
_space_group_symop_operation_xyz
'x,y,z'
loop_
_atom_site_label
_atom_site_type_symbol
_atom_site_fract_x
_atom_site_fract_y
_atom_site_fract_z
_atom_site_occupancy
Er1 Er 0.000 0.000 0.000 1
Sc1 Sc 0.500 0.500 0.293 1
Cu1 Cu 0.000 0.268 0.496 1
Cu2 Cu 0.000 0.500 0.958 1
Cu3 Cu 0.000 0.732 0.496 1
Cu4 Cu 0.500 0.000 0.380 1
Cu5 Cu 0.500 0.269 0.798 1
Cu6 Cu 0.500 0.731 0.798 1
```

Largest 8 diffraction maxima, sorted by position, 15° ≤ 2θ ≤ 90°:
31.84 deg, d = 2.811 Å, I = 21; 37.08 deg, d = 2.425 Å, I = 29; 37.82 deg, d = 2.379 Å, I = 15; 40.74 deg, d = 2.215 Å, I = 40; 42.50 deg, d = 2.127 Å, I = 100; 43.16 deg, d = 2.096 Å, I = 48; 56.26 deg, d = 1.635 Å, I = 17; 75.37 deg, d = 1.261 Å, I = 17

Diffraction record for ErCu2Se4. The PXRD pattern is theoretical, not measured: it uses the PBE geometry in OQMD and Cu Kα X-rays.
Kinematic intensities with the Lorentz-polarization factor, no thermal factor.

Crystal structure
```
data_ErCu2Se4
_space_group_name_H-M_alt 'P 1'
_space_group_IT_number 1
_cell_length_a 7.798
_cell_length_b 7.798
_cell_length_c 7.169
_cell_angle_alpha 117.03
_cell_angle_beta 117.03
_cell_angle_gamma 99.23
loop_
_space_group_symop_operation_xyz
'x,y,z'
loop_
_atom_site_label
_atom_site_type_symbol
_atom_site_fract_x
_atom_site_fract_y
_atom_site_fract_z
_atom_site_occupancy
Er1 Er 0.125 0.875 0.750 1
Er2 Er 0.875 0.125 0.250 1
Cu1 Cu 0.000 0.500 0.000 1
Cu2 Cu 0.500 0.000 0.500 1
Cu3 Cu 0.500 0.500 0.000 1
Cu4 Cu 0.500 0.500 0.500 1
Se1 Se 0.135 0.275 0.797 1
Se2 Se 0.164 0.525 0.388 1
Se3 Se 0.275 0.135 0.297 1
Se4 Se 0.475 0.836 0.112 1
Se5 Se 0.525 0.164 0.888 1
Se6 Se 0.725 0.865 0.703 1
Se7 Se 0.836 0.475 0.612 1
Se8 Se 0.865 0.725 0.203 1
```

Largest 8 diffraction maxima, sorted by position, 15° ≤ 2θ ≤ 90°:
28.69 deg, d = 3.111 Å, I = 99; 28.87 deg, d = 3.093 Å, I = 100; 35.06 deg, d = 2.560 Å, I = 32; 39.96 deg, d = 2.256 Å, I = 50; 42.39 deg, d = 2.132 Å, I = 30; 42.80 deg, d = 2.113 Å, I = 29; 44.11 deg, d = 2.053 Å, I = 31; 44.27 deg, d = 2.046 Å, I = 31

Diffraction record for SrErCuTeSe2. The PXRD pattern is theoretical, not measured: it uses the PBE geometry in OQMD and Cu Kα X-rays.
Kinematic intensities with the Lorentz-polarization factor, no thermal factor.

Crystal structure
```
data_SrErCuTeSe2
_space_group_name_H-M_alt 'P 1'
_space_group_IT_number 1
_cell_length_a 7.419
_cell_length_b 7.419
_cell_length_c 10.964
_cell_angle_alpha 90.00
_cell_angle_beta 90.00
_cell_angle_gamma 147.90
loop_
_space_group_symop_operation_xyz
'x,y,z'
loop_
_atom_site_label
_atom_site_type_symbol
_atom_site_fract_x
_atom_site_fract_y
_atom_site_fract_z
_atom_site_occupancy
Sr1 Sr 0.224 0.776 0.750 1
Sr2 Sr 0.776 0.224 0.250 1
Er1 Er 0.000 0.000 0.000 1
Er2 Er 0.000 0.000 0.500 1
Cu1 Cu 0.475 0.525 0.250 1
Cu2 Cu 0.525 0.475 0.750 1
Te1 Te 0.092 0.908 0.250 1
Te2 Te 0.908 0.092 0.750 1
Se1 Se 0.371 0.629 0.070 1
Se2 Se 0.371 0.629 0.430 1
Se3 Se 0.629 0.371 0.570 1
Se4 Se 0.629 0.371 0.930 1
```

Largest 8 diffraction maxima, sorted by position, 15° ≤ 2θ ≤ 90°:
27.42 deg, d = 3.252 Å, I = 29; 29.90 deg, d = 2.988 Å, I = 75; 32.67 deg, d = 2.741 Å, I = 34; 33.16 deg, d = 2.702 Å, I = 100; 40.07 deg, d = 2.250 Å, I = 25; 41.96 deg, d = 2.153 Å, I = 43; 44.16 deg, d = 2.051 Å, I = 31; 50.98 deg, d = 1.791 Å, I = 22

Diffraction record for Er4Cu3Si. The PXRD pattern is theoretical, not measured: it uses the PBE geometry in OQMD and Cu Kα X-rays.
Kinematic intensities with the Lorentz-polarization factor, no thermal factor.

Crystal structure
```
data_Er4Cu3Si
_space_group_name_H-M_alt 'P 1'
_space_group_IT_number 1
_cell_length_a 5.602
_cell_length_b 4.225
_cell_length_c 7.127
_cell_angle_alpha 90.00
_cell_angle_beta 91.02
_cell_angle_gamma 90.00
loop_
_space_group_symop_operation_xyz
'x,y,z'
loop_
_atom_site_label
_atom_site_type_symbol
_atom_site_fract_x
_atom_site_fract_y
_atom_site_fract_z
_atom_site_occupancy
Er1 Er 0.000 0.000 0.000 1
Er2 Er 0.230 0.000 0.491 1
Er3 Er 0.499 0.500 0.850 1
Er4 Er 0.730 0.500 0.351 1
Cu1 Cu 0.242 0.500 0.210 1
Cu2 Cu 0.498 0.000 0.140 1
Cu3 Cu 0.739 0.000 0.640 1
Si1 Si 0.002 0.500 0.714 1
```

Largest 8 diffraction maxima, sorted by position, 15° ≤ 2θ ≤ 90°:
26.42 deg, d = 3.373 Å, I = 47; 29.17 deg, d = 3.061 Å, I = 40; 29.43 deg, d = 3.035 Å, I = 69; 32.88 deg, d = 2.724 Å, I = 100; 34.19 deg, d = 2.622 Å, I = 48; 34.62 deg, d = 2.591 Å, I = 46; 36.49 deg, d = 2.463 Å, I = 42; 42.81 deg, d = 2.112 Å, I = 50